# Tb2PuThSb4
Theoretical powder X-ray diffraction pattern, copper Kα. Input: a crystal structure in Alexandria, relaxed with GGA-PBE.

Main lines, in order of rising 2θ (10° ≤ 2θ ≤ 80°):
two_theta  d/Å  I_rel
24.6  3.626  9.7
28.4  3.140  100.0
40.6  2.223  38.7
40.7  2.218  38.4
50.3  1.814  20.8
50.4  1.809  6.9
58.8  1.570  13.0
66.5  1.405  18.0
66.7  1.403  17.8
73.9  1.283  13.3

Structural model:
Lattice parameters (Å, degrees): 7.6799 4.4486 7.6928 90.00 109.54 90.00
Sites, in units of the cell vectors:
Tb 0.0000 0.0000 0.0000
Tb 0.0000 0.5000 0.5000
Pu 0.5000 0.0000 0.5000
Th 0.5000 0.5000 0.0000
Sb 0.2443 0.0000 0.7463
Sb 0.2468 0.5000 0.2510
Sb 0.7532 0.5000 0.7490
Sb 0.7557 0.0000 0.2537

***

# KIn2Te
Theoretical powder X-ray diffraction pattern, copper Kα. Input: a crystal structure in Alexandria, relaxed with GGA-PBE.

Main lines, in order of rising 2θ (10° ≤ 2θ ≤ 80°):
two_theta  d/Å  I_rel
16.3  5.442  35.1
27.3  3.268  100.0
29.9  2.993  89.6
37.5  2.396  25.7
39.0  2.311  33.5
40.9  2.207  64.9
49.9  1.829  15.4
57.8  1.596  17.3
58.3  1.582  24.0
72.4  1.305  18.9

Structural model:
Lattice parameters (Å, degrees): 7.3513 7.3513 7.3513 102.11 102.11 125.49
Sites, in units of the cell vectors:
K 0.0000 0.0000 0.0000
K 0.7500 0.2500 0.5000
In 0.1624 0.6250 0.0374
In 0.3750 0.4124 0.5374
In 0.5876 0.1250 0.9626
In 0.8750 0.8376 0.4626
Te 0.2500 0.7500 0.5000
Te 0.5000 0.5000 0.0000

***

# AcTm2Ir
Theoretical powder X-ray diffraction pattern, copper Kα. Input: a crystal structure in Alexandria, relaxed with GGA-PBE.

Main lines, in order of rising 2θ (10° ≤ 2θ ≤ 80°):
two_theta  d/Å  I_rel
10.1  8.793  29.3
20.2  4.396  19.8
25.9  3.441  20.8
28.5  3.136  31.3
30.3  2.954  100.0
37.1  2.420  31.1
44.0  2.058  53.6
51.8  1.764  31.9
54.3  1.688  19.8
72.4  1.305  17.0

Structural model:
Lattice parameters (Å, degrees): 9.1082 9.1082 9.1082 26.12 26.12 26.12
Sites, in units of the cell vectors:
Ac 0.0000 0.0000 0.0000
Tm 0.5488 0.5488 0.5488
Tm 0.7797 0.7797 0.7797
Ir 0.1643 0.1643 0.1643

***

# Nd3Tl2Hg2
Theoretical powder X-ray diffraction pattern, copper Kα. Input: a crystal structure in Alexandria, relaxed with GGA-PBE.

Main lines, in order of rising 2θ (10° ≤ 2θ ≤ 80°):
two_theta  d/Å  I_rel
22.9  3.876  36.7
31.1  2.876  94.9
33.4  2.685  58.4
33.6  2.669  51.5
33.8  2.653  39.7
34.0  2.640  44.8
34.2  2.622  100.0
34.5  2.598  68.4
34.7  2.586  64.4
46.9  1.938  61.6

Structural model:
Lattice parameters (Å, degrees): 5.2446 5.3783 8.9905 100.89 90.27 118.82
Sites, in units of the cell vectors:
Nd 0.0000 0.0000 0.0000
Nd 0.2747 0.5579 0.6994
Nd 0.7253 0.4421 0.3006
Tl 0.3630 0.7212 0.1448
Tl 0.6370 0.2788 0.8552
Hg 0.0704 0.1264 0.3625
Hg 0.9296 0.8736 0.6375

***

# Rb2Sr2Li
Theoretical powder X-ray diffraction pattern, copper Kα. Input: a crystal structure in Alexandria, relaxed with GGA-PBE.

Main lines, in order of rising 2θ (10° ≤ 2θ ≤ 80°):
two_theta  d/Å  I_rel
19.3  4.599  18.5
23.5  3.787  25.9
24.6  3.615  100.0
30.6  2.924  11.9
30.7  2.909  13.3
39.0  2.307  13.8
42.0  2.152  23.7
42.2  2.140  22.7
48.4  1.882  13.2
65.7  1.421  11.6

Structural model:
Lattice parameters (Å, degrees): 9.1986 9.1986 7.5747 90.00 90.00 90.00
Sites, in units of the cell vectors:
Rb 0.1728 0.3272 0.0000
Rb 0.3272 0.8272 0.0000
Rb 0.6728 0.1728 0.0000
Rb 0.8272 0.6728 0.0000
Sr 0.1600 0.6600 0.5000
Sr 0.3400 0.1600 0.5000
Sr 0.6600 0.8400 0.5000
Sr 0.8400 0.3400 0.5000
Li 0.0000 0.0000 0.5000
Li 0.5000 0.5000 0.5000

***

# CaPrHo
Theoretical powder X-ray diffraction pattern, copper Kα. Input: a crystal structure in Alexandria, relaxed with GGA-PBE.

Main lines, in order of rising 2θ (10° ≤ 2θ ≤ 80°):
two_theta  d/Å  I_rel
28.0  3.183  11.1
29.2  3.057  31.1
29.7  3.007  100.0
34.3  2.615  75.6
49.0  1.860  21.2
49.6  1.837  22.6
58.0  1.589  18.7
58.6  1.575  25.6
58.9  1.568  14.3
61.7  1.503  13.8

Structural model:
Lattice parameters (Å, degrees): 3.6749 3.6749 9.1709 90.00 90.00 120.00
Sites, in units of the cell vectors:
Ca 0.0000 0.0000 0.0000
Pr 0.3333 0.6667 0.6449
Ho 0.6667 0.3333 0.3386

***

# Sr6Mg3Cd
Theoretical powder X-ray diffraction pattern, copper Kα. Input: a crystal structure in Alexandria, relaxed with GGA-PBE.

Main lines, in order of rising 2θ (10° ≤ 2θ ≤ 80°):
two_theta  d/Å  I_rel
27.6  3.229  26.6
29.4  3.035  65.8
29.9  2.991  100.0
30.2  2.956  76.0
30.3  2.946  19.9
31.4  2.851  27.4
40.8  2.212  18.4
45.2  2.007  18.8
52.5  1.744  20.3
52.7  1.737  16.0

Structural model:
Lattice parameters (Å, degrees): 10.2228 6.0701 13.5941 90.00 111.03 90.00
Sites, in units of the cell vectors:
Sr 0.0103 0.2500 0.4134
Sr 0.1652 0.7500 0.1576
Sr 0.2572 0.2500 0.9982
Sr 0.3468 0.7500 0.8237
Sr 0.3618 0.2500 0.3426
Sr 0.3832 0.2500 0.6398
Sr 0.6168 0.7500 0.3602
Sr 0.6382 0.7500 0.6574
Sr 0.6532 0.2500 0.1763
Sr 0.7428 0.7500 0.0018
Sr 0.8348 0.2500 0.8424
Sr 0.9897 0.7500 0.5866
Mg 0.0256 0.7500 0.8643
Mg 0.0836 0.2500 0.7215
Mg 0.2593 0.7500 0.4601
Mg 0.7407 0.2500 0.5399
Mg 0.9164 0.7500 0.2785
Mg 0.9744 0.2500 0.1357
Cd 0.4589 0.7500 0.0938
Cd 0.5411 0.2500 0.9062

***

# SnI3
Theoretical powder X-ray diffraction pattern, copper Kα. Input: a crystal structure in Alexandria, relaxed with GGA-PBE.

Main lines, in order of rising 2θ (10° ≤ 2θ ≤ 80°):
two_theta  d/Å  I_rel
14.8  5.988  77.7
15.3  5.785  82.4
25.5  3.499  100.0
29.8  2.994  59.0
30.9  2.893  43.5
33.2  2.697  49.8
34.7  2.587  87.0
43.5  2.080  34.0
46.4  1.958  98.0
73.0  1.296  25.7

Structural model:
Lattice parameters (Å, degrees): 8.3260 8.3260 8.3260 121.14 121.14 88.03
Sites, in units of the cell vectors:
Sn 0.0000 0.0000 0.0000
Sn 0.5000 0.5000 0.0000
I 0.1691 0.6691 0.8382
I 0.2500 0.2500 0.0000
I 0.3309 0.1691 0.5000
I 0.6691 0.8309 0.5000
I 0.7500 0.7500 0.0000
I 0.8309 0.3309 0.1618

***

# Tb6MgTl
Theoretical powder X-ray diffraction pattern, copper Kα. Input: a crystal structure in Alexandria, relaxed with GGA-PBE.

Main lines, in order of rising 2θ (10° ≤ 2θ ≤ 80°):
two_theta  d/Å  I_rel
18.2  4.869  7.9
22.7  3.925  5.9
31.5  2.838  100.0
35.6  2.521  37.1
38.4  2.345  13.6
51.3  1.782  13.2
53.4  1.717  21.1
61.4  1.509  29.9
65.2  1.432  10.1
65.8  1.420  5.9

Structural model:
Lattice parameters (Å, degrees): 10.0366 10.0345 5.0416 75.48 75.43 29.10
Sites, in units of the cell vectors:
Tb 0.1163 0.1163 0.3837
Tb 0.2477 0.2477 0.7523
Tb 0.3837 0.3837 0.1163
Tb 0.6163 0.6163 0.8837
Tb 0.7523 0.7523 0.2477
Tb 0.8837 0.8837 0.6163
Mg 0.0000 0.0000 0.0000
Tl 0.5000 0.5000 0.5000

***

# Pr6SmDy4
Theoretical powder X-ray diffraction pattern, copper Kα. Input: a crystal structure in Alexandria, relaxed with GGA-PBE.

Main lines, in order of rising 2θ (10° ≤ 2θ ≤ 80°):
two_theta  d/Å  I_rel
27.7  3.219  28.5
28.5  3.127  22.7
28.8  3.100  65.7
30.2  2.957  42.4
30.6  2.919  100.0
33.8  2.651  72.5
35.9  2.500  23.5
38.5  2.340  25.1
39.7  2.273  43.8
57.7  1.599  28.5

Structural model:
Lattice parameters (Å, degrees): 10.0292 10.0292 10.0292 141.47 141.47 55.63
Sites, in units of the cell vectors:
Pr 0.0000 0.5000 0.5000
Pr 0.0426 0.6846 0.0000
Pr 0.3154 0.3154 0.3580
Pr 0.5000 0.0000 0.5000
Pr 0.6846 0.0426 0.0000
Pr 0.9574 0.9574 0.6420
Sm 0.5000 0.5000 0.0000
Dy 0.1392 0.1392 0.6295
Dy 0.4903 0.8608 0.0000
Dy 0.5097 0.5097 0.3705
Dy 0.8608 0.4903 0.0000

***

# CeTmGePt
Theoretical powder X-ray diffraction pattern, copper Kα. Input: a crystal structure in Alexandria, relaxed with GGA-PBE.

Main lines, in order of rising 2θ (10° ≤ 2θ ≤ 80°):
two_theta  d/Å  I_rel
26.1  3.411  64.7
27.9  3.195  30.6
29.2  3.054  35.5
32.9  2.722  59.9
39.9  2.257  100.0
44.9  2.017  61.3
48.3  1.883  24.9
57.7  1.596  44.9
68.2  1.375  17.2
76.0  1.252  26.1

Structural model:
Lattice parameters (Å, degrees): 4.5178 4.5178 10.4031 90.00 90.00 90.00
Sites, in units of the cell vectors:
Ce 0.2500 0.2500 0.1628
Ce 0.7500 0.7500 0.8372
Tm 0.2500 0.7500 0.5000
Tm 0.7500 0.2500 0.5000
Ge 0.2500 0.2500 0.8891
Ge 0.7500 0.7500 0.1109
Pt 0.2500 0.2500 0.6565
Pt 0.7500 0.7500 0.3435

***

# MgAgBiAu
Theoretical powder X-ray diffraction pattern, copper Kα. Input: a crystal structure in Alexandria, relaxed with GGA-PBE.

Main lines, in order of rising 2θ (10° ≤ 2θ ≤ 80°):
two_theta  d/Å  I_rel
21.9  4.056  6.2
25.4  3.513  29.0
36.2  2.484  100.0
42.7  2.118  3.2
44.7  2.028  9.2
52.1  1.756  17.7
57.1  1.612  1.3
58.8  1.571  12.8
65.0  1.434  36.3
76.7  1.242  11.4

Structural model:
Lattice parameters (Å, degrees): 4.9678 4.9678 4.9678 60.00 60.00 60.00
Sites, in units of the cell vectors:
Mg 0.0000 0.0000 0.0000
Ag 0.5000 0.5000 0.5000
Bi 0.2500 0.2500 0.2500
Au 0.7500 0.7500 0.7500

***

What did the first record say?
# Tb2PuThSb4
Theoretical powder X-ray diffraction pattern, copper Kα. Input: a crystal structure in Alexandria, relaxed with GGA-PBE.

Main lines, in order of rising 2θ (10° ≤ 2θ ≤ 80°):
two_theta  d/Å  I_rel
24.6  3.626  9.7
28.4  3.140  100.0
40.6  2.223  38.7
40.7  2.218  38.4
50.3  1.814  20.8
50.4  1.809  6.9
58.8  1.570  13.0
66.5  1.405  18.0
66.7  1.403  17.8
73.9  1.283  13.3

Structural model:
Lattice parameters (Å, degrees): 7.6799 4.4486 7.6928 90.00 109.54 90.00
Sites, in units of the cell vectors:
Tb 0.0000 0.0000 0.0000
Tb 0.0000 0.5000 0.5000
Pu 0.5000 0.0000 0.5000
Th 0.5000 0.5000 0.0000
Sb 0.2443 0.0000 0.7463
Sb 0.2468 0.5000 0.2510
Sb 0.7532 0.5000 0.7490
Sb 0.7557 0.0000 0.2537